[1]
Starting from a structure optimized by DFT (PBE+U), the powder diffractogram of Na5MnO4 was computed for λ = 1.5418 Å (Cu Kα).
Intensities are scaled so that the largest is 100.

The 10 most intense peaks (15 to 90 degrees two-theta), low angle first:
| two_theta | Rel. int. |
| --- | --- |
| 16.67 | 43.2 |
| 20.61 | 61.6 |
| 20.74 | 19.8 |
| 29.42 | 38.0 |
| 31.74 | 70.9 |
| 33.70 | 29.3 |
| 34.27 | 30.2 |
| 39.55 | 75.0 |
| 48.84 | 100.0 |
| 64.61 | 27.1 |

Atomic structure:
```
Na5MnO4
1.0
7.454 0.000 0.000
0.000 7.593 0.000
0.000 0.000 5.233
Na Mn O
10 2 8
Direct
0.014 0.056 0.244 Na
0.014 0.444 0.244 Na
0.250 0.750 0.330 Na
0.486 0.056 0.244 Na
0.486 0.444 0.244 Na
0.514 0.556 0.756 Na
0.514 0.944 0.756 Na
0.750 0.250 0.670 Na
0.986 0.556 0.756 Na
0.986 0.944 0.756 Na
0.250 0.250 0.722 Mn
0.750 0.750 0.278 Mn
0.018 0.250 0.888 O
0.250 0.022 0.549 O
0.250 0.478 0.549 O
0.482 0.250 0.888 O
0.518 0.750 0.112 O
0.750 0.522 0.451 O
0.750 0.978 0.451 O
0.982 0.750 0.112 O
```



[2]
Starting from a structure optimized by DFT (PBE+U), the powder diffractogram of Na2MnOsO6 was computed for λ = 1.5418 Å (Cu Kα).
Intensities are scaled so that the largest is 100.

The 10 most intense peaks (15 to 90 degrees two-theta), low angle first:
| two_theta | Rel. int. |
| --- | --- |
| 19.64 | 39.0 |
| 19.90 | 37.8 |
| 22.61 | 36.2 |
| 23.00 | 70.1 |
| 32.46 | 100.0 |
| 33.07 | 18.1 |
| 47.00 | 24.7 |
| 52.76 | 14.9 |
| 57.89 | 20.8 |
| 58.69 | 18.8 |

Atomic structure:
```
Na2MnOsO6
1.0
5.417 0.000 0.000
0.000 5.521 0.000
-5.411 0.000 7.866
Na Mn Os O
4 2 2 12
Direct
0.239 0.040 0.251 Na
0.239 0.460 0.751 Na
0.761 0.540 0.249 Na
0.761 0.960 0.749 Na
0.500 0.000 0.000 Mn
0.500 0.500 0.500 Mn
0.000 0.000 0.500 Os
0.000 0.500 0.000 Os
0.146 0.220 0.955 O
0.146 0.280 0.455 O
0.239 0.695 0.959 O
0.239 0.805 0.459 O
0.314 0.021 0.731 O
0.314 0.479 0.231 O
0.686 0.521 0.769 O
0.686 0.979 0.269 O
0.761 0.195 0.541 O
0.761 0.305 0.041 O
0.854 0.720 0.545 O
0.854 0.780 0.045 O
```



[3]
Starting from a structure optimized by DFT (PBE+U), the powder diffractogram of NaMn2P2O7 was computed for λ = 1.5418 Å (Cu Kα).
Intensities are scaled so that the largest is 100.

The 10 most intense peaks (15 to 90 degrees two-theta), low angle first:
| two_theta | Rel. int. |
| --- | --- |
| 19.40 | 33.9 |
| 24.69 | 60.3 |
| 25.16 | 51.8 |
| 28.08 | 100.0 |
| 33.15 | 91.9 |
| 35.47 | 17.7 |
| 42.07 | 19.3 |
| 50.83 | 43.0 |
| 54.58 | 18.8 |
| 59.22 | 29.1 |

Atomic structure:
```
NaMn2P2O7
1.0
2.702 1.560 7.212
-2.702 1.560 7.212
0.000 -3.121 7.212
Na Mn P O
1 2 2 7
Direct
0.000 0.000 0.000 Na
0.224 0.224 0.224 Mn
0.776 0.776 0.776 Mn
0.425 0.425 0.425 P
0.575 0.575 0.575 P
0.124 0.424 0.669 O
0.331 0.575 0.876 O
0.425 0.669 0.124 O
0.500 0.500 0.500 O
0.575 0.876 0.331 O
0.669 0.124 0.425 O
0.876 0.331 0.575 O
```



[4]
Starting from a structure optimized by DFT (PBE+U), the powder diffractogram of NaPmMnO3 was computed for λ = 1.5418 Å (Cu Kα).
Intensities are scaled so that the largest is 100.

The 10 most intense peaks (15 to 90 degrees two-theta), low angle first:
| two_theta | Rel. int. |
| --- | --- |
| 23.38 | 56.1 |
| 31.70 | 100.0 |
| 31.83 | 80.4 |
| 33.43 | 42.4 |
| 37.32 | 27.6 |
| 38.50 | 34.8 |
| 40.99 | 27.7 |
| 42.39 | 47.0 |
| 50.78 | 39.1 |
| 58.59 | 30.0 |

Atomic structure:
```
NaPmMnO3
1.0
1.839 -6.542 0.000
1.839 6.542 0.000
0.000 0.000 9.354
Na Pm Mn O
2 2 2 6
Direct
0.149 0.851 0.750 Na
0.851 0.149 0.250 Na
0.500 0.500 0.000 Pm
0.500 0.500 0.500 Pm
0.095 0.905 0.250 Mn
0.905 0.095 0.750 Mn
0.110 0.890 0.043 O
0.110 0.890 0.457 O
0.478 0.522 0.250 O
0.522 0.478 0.750 O
0.890 0.110 0.543 O
0.890 0.110 0.957 O
```